Record 1
Starting from a cell relaxed with GGA-PBE, the powder diffraction line list of AcNdCuNi was computed for copper Kα.
Lines closer than 0.1° are merged.

Unit cell a=4.542 b=4.000 c=10.972 alpha=90.00 beta=90.00 gamma=90.00
Space group Amm2 (No. 38)
Symmetry-distinct sites (fractional):
Ac: 0.000 0.000 0.000 (multiplicity 2)
Nd: 0.500 0.000 0.276 (multiplicity 2)
Cu: 0.500 0.000 0.578 (multiplicity 2)
Ni: 0.000 0.000 0.709 (multiplicity 2)

Principal peaks in the range 2θ from 10° to 90°, most intense first:
- 30.9°, d 2.896, intensity 100, hkl 1 1 1
- 25.5°, d 3.498, intensity 49, hkl 1 0 2
- 38.8°, d 2.320, intensity 48, hkl 1 1 3
- 33.2°, d 2.699, intensity 47, hkl 0 1 3
- 52.7°, d 1.737, intensity 40, hkl 2 1 3
- 39.7°, d 2.271, intensity 28, hkl 2 0 0
- 32.6°, d 2.743, intensity 24, hkl 0 0 4
- 45.3°, d 2.000, intensity 19, hkl 0 2 0


Record 2
Starting from a cell relaxed with GGA-PBE, the powder diffraction line list of Li2NdEr2Pb2 was computed for copper Kα.
Lines closer than 0.1° are merged.

Unit cell a=4.8708 b=4.8708 c=26.8088 alpha=90.00 beta=90.00 gamma=120.00
Space group R-3m (No. 166, hexagonal axes)
Symmetry-distinct sites (fractional):
Li: 0.0000 0.0000 0.0864 (multiplicity 6)
Nd: 0.0000 0.0000 0.5000 (multiplicity 3)
Er: 0.0000 0.0000 0.3692 (multiplicity 6)
Pb: 0.0000 0.0000 0.2394 (multiplicity 6)

Principal peaks in the range 2θ from 10° to 90°, most intense first:
- 34.2°, d 2.624, intensity 100, hkl 0 1 8
- 36.9°, d 2.435, intensity 99, hkl 1 1 0
- 31.6°, d 2.835, intensity 72, hkl 1 0 7
- 64.7°, d 1.440, intensity 64, hkl 1 1 15
- 21.3°, d 4.167, intensity 56, hkl 1 0 1
- 51.2°, d 1.786, intensity 43, hkl 0 0 15
- 22.1°, d 4.024, intensity 35, hkl 0 1 2
- 88.5°, d 1.105, intensity 29, hkl 3 1 8


Record 3
Starting from a cell relaxed with GGA-PBE, the powder diffraction line list of Zr2O was computed for copper Kα.
Lines closer than 0.1° are merged.

Unit cell a=5.6835 b=5.6835 c=10.5001 alpha=90.00 beta=90.00 gamma=120.00
Space group P312 (No. 149)
Symmetry-distinct sites (fractional):
Zr: 0.9997 0.3327 0.1261 (multiplicity 6)
Zr: 0.0002 0.3418 0.6289 (multiplicity 6)
O: 0.0000 0.0000 0.0000 (multiplicity 1)
O: 0.3333 0.6667 0.2424 (multiplicity 2)
O: 0.3333 0.6667 0.5000 (multiplicity 1)
O: 0.6667 0.3333 0.0000 (multiplicity 1)
O: 0.6667 0.3333 0.5000 (multiplicity 1)

Principal peaks in the range 2θ from 10° to 90°, most intense first:
- 35.9°, d 2.499, intensity 100, hkl 2 -1 2
- 34.2°, d 2.625, intensity 21, hkl 0 0 4
- 56.1°, d 1.641, intensity 21, hkl 3 0 0
- 47.1°, d 1.928, intensity 21, hkl 1 1 4
- 62.3°, d 1.490, intensity 19, hkl 2 -1 6
- 67.3°, d 1.391, intensity 17, hkl 3 0 4
- 31.5°, d 2.842, intensity 16, hkl 1 1 0
- 68.4°, d 1.372, intensity 14, hkl 2 2 2


Record 4
Starting from a cell relaxed with GGA-PBE, the powder diffraction line list of CsKH6Pt was computed for copper Kα.
Lines closer than 0.1° are merged.

Unit cell a=5.9331 b=5.9331 c=5.5226 alpha=90.00 beta=90.00 gamma=120.00
Space group P312 (No. 149)
Symmetry-distinct sites (fractional):
Cs: 0.0000 0.0000 0.0000 (multiplicity 1)
K: 0.3333 0.6667 0.5000 (multiplicity 1)
H: 0.4430 0.1140 0.6809 (multiplicity 6)
Pt: 0.6667 0.3333 0.5000 (multiplicity 1)

Principal peaks in the range 2θ from 10° to 90°, most intense first:
- 23.7°, d 3.762, intensity 100, hkl 1 0 1
- 30.1°, d 2.967, intensity 45, hkl 1 1 0
- 44.8°, d 2.021, intensity 30, hkl 2 -1 2
- 38.7°, d 2.329, intensity 27, hkl 2 0 1
- 49.8°, d 1.832, intensity 26, hkl 3 -1 1
- 17.3°, d 5.138, intensity 23, hkl 1 0 0
- 32.4°, d 2.761, intensity 12, hkl 0 0 2
- 67.9°, d 1.380, intensity 12, hkl 0 0 4